Simulated X-ray diffraction stick pattern of Ti2TeOsPd for copper Kα, from a DFT-relaxed cell (GGA-PBE, Alexandria).
Peak positions follow from Bragg's law for the DFT cell and can differ from measured ones.

Top 10 peaks for 10 to 90 degrees two-theta, by angle:
2θ 18.78, I 90, (1 0 0); 2θ 25.83, I 61, (1 0 1); 2θ 26.68, I 100, (1 1 0); 2θ 35.58, I 60, (0 0 2); 2θ 38.08, I 99, (2 0 0); 2θ 40.53, I 26, (1 0 2); 2θ 45.02, I 50, (1 1 2); 2θ 53.10, I 75, (2 0 2); 2θ 54.95, I 34, (2 2 0); 2θ 67.20, I 36, (2 2 2)

Structure:
Lattice parameters (Å, degrees): 4.726 4.726 5.046 90.00 90.00 90.00
Space group P4/mmm (No. 123)
One atom of each set of equivalent atoms:
1 Ti 0.000 0.500 0.000 x2
2 Te 0.000 0.000 0.500 x1
3 Os 0.000 0.000 0.000 x1
4 Pd 0.500 0.500 0.500 x1